# Ge7Os3
Simulated X-ray diffraction stick pattern, Cu Kα, 1.54184 Å. Input: DFT lattice parameters and positions (GGA-PBE).
Intensities are scaled so that the largest is 100.

Structural model:
```
data_Ge7Os3
_symmetry_space_group_name_H-M 'I m -3 m'
_symmetry_Int_Tables_number 229
_symmetry_space_group_name_Hall '-I 4 2 3'
_cell_length_a 8.797
_cell_length_b 8.797
_cell_length_c 8.797
_cell_angle_alpha 90.00
_cell_angle_beta 90.00
_cell_angle_gamma 90.00
loop_
_atom_site_label
_atom_site_fract_x
_atom_site_fract_y
_atom_site_fract_z
_atom_site_occupancy
Ge1 0.000 0.250 0.500 1
Ge2 0.160 0.160 0.160 1
Os1 0.000 0.000 0.341 1
```

Top 10 peaks for 5 to 70 degrees two-theta, in order of rising 2θ:
- 2θ = 20.19°, I = 21, (2 0 0)
- 2θ = 24.79°, I = 50, (2 1 1)
- 2θ = 35.34°, I = 28, (2 2 2)
- 2θ = 38.28°, I = 13, (3 2 1)
- 2θ = 43.65°, I = 100, (3 3 0)
- 2θ = 48.54°, I = 8, (3 3 2)
- 2θ = 50.85°, I = 19, (4 2 2)
- 2θ = 57.37°, I = 6, (5 2 1)
- 2θ = 63.44°, I = 20, (6 0 0)
- 2θ = 69.21°, I = 15, (5 4 1)


# Ge3Os2
Simulated X-ray diffraction stick pattern, Cu Kα, 1.54184 Å. Input: DFT lattice parameters and positions (GGA-PBE).
Intensities are scaled so that the largest is 100.

Structural model:
```
data_Ge3Os2
_symmetry_space_group_name_H-M 'P -4 c 2'
_symmetry_Int_Tables_number 116
_cell_length_a 5.820
_cell_length_b 5.820
_cell_length_c 9.362
_cell_angle_alpha 90.00
_cell_angle_beta 90.00
_cell_angle_gamma 90.00
loop_
_symmetry_equiv_pos_as_xyz
'x,y,z'
'y,-x,-z'
'-x,-y,z'
'-y,x,-z'
'-x,y,z+1/2'
'-y,-x,-z+1/2'
'x,-y,z+1/2'
'y,x,-z+1/2'
loop_
_atom_site_label
_atom_site_fract_x
_atom_site_fract_y
_atom_site_fract_z
_atom_site_occupancy
Ge1 0.150 0.282 0.415 1
Ge2 0.329 0.329 0.750 1
Os1 0.000 0.000 0.250 1
Os2 0.000 0.500 0.124 1
Os3 0.500 0.500 0.000 1
```

Top 10 peaks for 5 to 70 degrees two-theta, in order of rising 2θ:
- 2θ = 24.40°, I = 63, (1 0 2)
- 2θ = 30.72°, I = 28, (2 0 0)
- 2θ = 35.81°, I = 17, (2 1 1)
- 2θ = 36.12°, I = 20, (1 1 3)
- 2θ = 39.62°, I = 100, (2 1 2)
- 2θ = 44.01°, I = 35, (2 2 0)
- 2θ = 44.54°, I = 57, (1 1 4)
- 2θ = 50.96°, I = 38, (3 0 2)
- 2θ = 64.40°, I = 24, (3 1 4)
- 2θ = 69.56°, I = 12, (4 1 2)